This entry pairs a crystal structure of Sr3MnFeO7 with its calculated powder XRD pattern. Radiation: Cu Ka. Structure: a DFT-relaxed cell (GGA+U, Alexandria).

Largest 10 diffraction maxima, by intensity, 10 to 90 degrees two-theta:
two_theta	d_spacing	I (rel.)
31.8	2.812	100
32.4	2.762	68
46.5	1.953	48
57.4	1.604	37
42.3	2.138	24
66.5	1.406	16
44.7	2.026	15
67.9	1.381	15
56.3	1.633	15
77.2	1.235	11

Structural model:
```
data_Sr3MnFeO7
_chemical_formula_sum 'Sr3 Mn1 Fe1 O7'
_cell_length_a 10.498
_cell_length_b 10.498
_cell_length_c 10.498
_cell_angle_alpha 158.56
_cell_angle_beta 158.56
_cell_angle_gamma 30.51
_symmetry_space_group_name_H-M 'P 1'
_symmetry_Int_Tables_number 1
loop_
_symmetry_equiv_pos_as_xyz
'x,y,z'
loop_
_atom_site_label
_atom_site_fract_x
_atom_site_fract_y
_atom_site_fract_z
Sr1 0.000 0.000 0.000
Sr2 0.182 0.182 0.000
Sr3 0.365 0.365 0.000
Mn1 0.585 0.585 0.000
Fe1 0.779 0.779 0.000
O1 0.087 0.587 0.500
O2 0.279 0.779 0.500
O3 0.489 0.489 0.000
O4 0.587 0.087 0.500
O5 0.683 0.683 0.000
O6 0.779 0.279 0.500
O7 0.876 0.876 0.000
```